Record 1
# CaCeCd2
Theoretical powder diffraction line list, CuKα. Input: DFT lattice parameters and positions (PBE).
Kinematic intensities with the Lorentz-polarization factor, no thermal factor.

Top 10 peaks for 2θ from 10° to 90°, sorted by position:
| d [Å] | intensity |
| --- | --- |
| 4.418 | 12.4 |
| 2.706 | 100.0 |
| 2.307 | 7.1 |
| 1.913 | 17.7 |
| 1.756 | 3.2 |
| 1.562 | 35.8 |
| 1.473 | 2.4 |
| 1.353 | 10.9 |
| 1.210 | 15.1 |
| 1.105 | 3.9 |

```
CaCeCd2
1.0
0.000 3.826 3.826
3.826 0.000 3.826
3.826 3.826 0.000
Ca Ce Cd
1 1 2
Direct
0.000 0.000 0.000 Ca
0.500 0.500 0.500 Ce
0.250 0.250 0.250 Cd
0.750 0.750 0.750 Cd
```

Record 2
# Re2MoSe4
Theoretical powder diffraction line list, CuKα. Input: DFT lattice parameters and positions (PBE).
Kinematic intensities with the Lorentz-polarization factor, no thermal factor.

Top 10 peaks for 2θ from 10° to 90°, sorted by position:
| d [Å] | intensity |
| --- | --- |
| 6.707 | 100.0 |
| 2.769 | 21.2 |
| 2.600 | 10.0 |
| 2.305 | 18.6 |
| 2.301 | 8.5 |
| 2.164 | 11.8 |
| 2.116 | 14.2 |
| 2.034 | 40.4 |
| 1.837 | 13.8 |
| 1.586 | 7.8 |

```
Re2MoSe4
1.0
6.733 0.000 0.000
-0.418 6.721 0.000
-0.399 -0.451 6.709
Re Mo Se
4 2 8
Direct
0.000 0.000 0.000 Re
0.040 0.218 0.349 Re
0.690 0.179 0.133 Re
0.868 0.310 0.822 Re
0.219 0.351 0.039 Mo
0.910 0.529 0.173 Mo
0.084 0.638 0.850 Se
0.184 0.133 0.711 Se
0.242 0.549 0.377 Se
0.327 0.027 0.218 Se
0.582 0.494 0.956 Se
0.668 0.978 0.801 Se
0.722 0.392 0.461 Se
0.825 0.894 0.318 Se
```